1.
Structure and simulated powder diffraction line list of Ba4SrFe5O15 (DFT lattice parameters and positions (GGA+U); Cu Kα (λ = 1.5418 Å)).
No peak broadening, texture or thermal motion is included.

Structure:
```
Ba4SrFe5O15
1.0
-2.833 2.833 20.271
2.833 -2.833 20.271
2.833 2.833 -20.271
Ba Sr Fe O
8 2 10 30
direct
0.000 0.500 0.500 Ba
0.101 0.601 0.500 Ba
0.202 0.702 0.500 Ba
0.304 0.804 0.500 Ba
0.500 0.000 0.500 Ba
0.601 0.101 0.500 Ba
0.702 0.202 0.500 Ba
0.804 0.304 0.500 Ba
0.402 0.902 0.500 Sr
0.902 0.402 0.500 Sr
0.050 0.050 0.000 Fe
0.151 0.151 0.000 Fe
0.251 0.251 0.000 Fe
0.354 0.354 0.000 Fe
0.450 0.450 0.000 Fe
0.550 0.550 0.000 Fe
0.653 0.653 0.000 Fe
0.752 0.752 0.000 Fe
0.853 0.853 0.000 Fe
0.950 0.950 0.000 Fe
0.000 0.000 0.000 O
0.010 0.010 0.513 O
0.010 0.497 0.000 O
0.101 0.101 0.000 O
0.104 0.104 0.497 O
0.104 0.607 0.000 O
0.198 0.198 0.498 O
0.198 0.700 0.000 O
0.200 0.200 0.000 O
0.300 0.300 0.501 O
0.300 0.799 0.000 O
0.308 0.308 0.000 O
0.401 0.401 0.000 O
0.408 0.408 0.513 O
0.408 0.894 0.000 O
0.497 0.010 0.000 O
0.497 0.497 0.487 O
0.501 0.501 0.000 O
0.597 0.597 0.000 O
0.607 0.104 0.000 O
0.607 0.607 0.503 O
0.700 0.198 0.000 O
0.700 0.700 0.502 O
0.704 0.704 0.000 O
0.799 0.300 0.000 O
0.799 0.799 0.499 O
0.805 0.805 0.000 O
0.894 0.408 0.000 O
0.894 0.894 0.487 O
0.901 0.901 0.000 O
```

Peak list (12 most intense, 10 to 80 degrees two-theta, by angle)
| 2θ (°) | I (rel.) |
| --- | --- |
| 22.19 | 9 |
| 31.39 | 100 |
| 31.59 | 49 |
| 38.78 | 26 |
| 44.71 | 17 |
| 45.27 | 34 |
| 55.77 | 19 |
| 56.13 | 38 |
| 65.52 | 20 |
| 65.96 | 10 |
| 74.87 | 8 |
| 74.97 | 8 |

2.
Structure and simulated powder diffraction line list of Ba2SrFeO6 (DFT lattice parameters and positions (GGA+U); Cu Kα (λ = 1.5418 Å)).
No peak broadening, texture or thermal motion is included.

Structure:
```
Ba2SrFeO6
1.0
0.000 4.275 4.275
4.275 0.000 4.275
4.275 4.275 0.000
Ba Sr Fe O
2 1 1 6
direct
0.250 0.250 0.250 Ba
0.750 0.750 0.750 Ba
0.000 0.000 0.000 Sr
0.500 0.500 0.500 Fe
0.279 0.279 0.721 O
0.279 0.721 0.279 O
0.279 0.721 0.721 O
0.721 0.279 0.279 O
0.721 0.279 0.721 O
0.721 0.721 0.279 O
```

Peak list (12 most intense, 10 to 80 degrees two-theta, by angle)
| 2θ (°) | I (rel.) |
| --- | --- |
| 20.78 | 5 |
| 29.55 | 100 |
| 36.40 | 11 |
| 42.28 | 32 |
| 46.29 | 1 |
| 47.56 | 3 |
| 52.43 | 39 |
| 61.34 | 19 |
| 65.50 | 2 |
| 69.54 | 19 |
| 73.47 | 3 |
| 77.32 | 6 |

3.
Structure and simulated powder diffraction line list of BaSrFe2O6 (DFT lattice parameters and positions (GGA+U); Cu Kα (λ = 1.5418 Å)).
No peak broadening, texture or thermal motion is included.

Structure:
```
BaSrFe2O6
1.0
3.986 0.000 0.000
0.000 3.986 0.000
0.000 0.000 15.849
Ba Sr Fe O
2 2 4 12
direct
0.000 0.000 0.250 Ba
0.000 0.000 0.750 Ba
0.000 0.000 0.000 Sr
0.000 0.000 0.500 Sr
0.500 0.500 0.123 Fe
0.500 0.500 0.377 Fe
0.500 0.500 0.623 Fe
0.500 0.500 0.877 Fe
0.000 0.500 0.120 O
0.000 0.500 0.380 O
0.000 0.500 0.620 O
0.000 0.500 0.880 O
0.500 0.000 0.120 O
0.500 0.000 0.380 O
0.500 0.000 0.620 O
0.500 0.000 0.880 O
0.500 0.500 0.000 O
0.500 0.500 0.250 O
0.500 0.500 0.500 O
0.500 0.500 0.750 O
```

Peak list (12 most intense, 10 to 80 degrees two-theta, by angle)
| 2θ (°) | I (rel.) |
| --- | --- |
| 22.30 | 3 |
| 31.81 | 100 |
| 39.22 | 16 |
| 45.51 | 24 |
| 45.80 | 12 |
| 56.61 | 26 |
| 56.80 | 13 |
| 66.32 | 7 |
| 66.55 | 14 |
| 75.43 | 11 |
| 75.89 | 5 |
| 79.84 | 3 |

4.
Structure and simulated powder diffraction line list of Ba2SrFeO6 (DFT lattice parameters and positions (GGA+U); Cu Kα (λ = 1.5418 Å)).
No peak broadening, texture or thermal motion is included.

Structure:
```
Ba2SrFeO6
1.0
8.563 0.000 0.000
0.000 8.563 0.000
0.000 0.000 8.563
Ba Sr Fe O
8 4 4 24
direct
0.250 0.250 0.250 Ba
0.250 0.250 0.750 Ba
0.250 0.750 0.250 Ba
0.250 0.750 0.750 Ba
0.750 0.250 0.250 Ba
0.750 0.250 0.750 Ba
0.750 0.750 0.250 Ba
0.750 0.750 0.750 Ba
0.000 0.000 0.000 Sr
0.000 0.500 0.500 Sr
0.500 0.000 0.500 Sr
0.500 0.500 0.000 Sr
0.000 0.000 0.500 Fe
0.000 0.500 0.000 Fe
0.500 0.000 0.000 Fe
0.500 0.500 0.500 Fe
0.016 0.517 0.780 O
0.016 0.983 0.720 O
0.017 0.220 0.516 O
0.017 0.280 0.984 O
0.220 0.516 0.017 O
0.220 0.984 0.483 O
0.280 0.516 0.483 O
0.280 0.984 0.017 O
0.483 0.220 0.984 O
0.483 0.280 0.516 O
0.484 0.517 0.720 O
0.484 0.983 0.780 O
0.516 0.017 0.220 O
0.516 0.483 0.280 O
0.517 0.720 0.484 O
0.517 0.780 0.016 O
0.720 0.016 0.983 O
0.720 0.484 0.517 O
0.780 0.016 0.517 O
0.780 0.484 0.983 O
0.983 0.720 0.016 O
0.983 0.780 0.484 O
0.984 0.017 0.280 O
0.984 0.483 0.220 O
```

Peak list (12 most intense, 10 to 80 degrees two-theta, by angle)
| 2θ (°) | I (rel.) |
| --- | --- |
| 20.75 | 5 |
| 29.50 | 100 |
| 36.34 | 11 |
| 42.21 | 31 |
| 46.21 | 1 |
| 47.48 | 3 |
| 52.34 | 39 |
| 61.23 | 18 |
| 65.39 | 2 |
| 69.42 | 19 |
| 73.34 | 3 |
| 77.18 | 6 |